The following is a theoretical PXRD pattern of ZnH6Se2O8. It was derived from a crystal structure in Alexandria, relaxed with GGA-PBE, using Cu Kα, 1.54184 Å.
Kinematic intensities with the Lorentz-polarization factor, no thermal factor.

The 10 most intense peaks (2θ = 10–80°), by angle:
2θ 17.01, I = 67
2θ 18.58, I = 100
2θ 24.52, I = 52
2θ 25.03, I = 36
2θ 26.43, I = 53
2θ 27.08, I = 28
2θ 30.46, I = 25
2θ 32.07, I = 36
2θ 32.93, I = 55
2θ 54.41, I = 26

Structure:
```
34
Lattice="7.1990 0.0000 0.0000 0.0000 7.1130 0.0000 -3.8186 0.0000 7.6607" Properties=species:S:1:pos:R:3 pbc="T T T"
Zn 0.0000 0.0000 0.0000
Zn -1.9093 3.5565 3.8303
H -0.6627 1.5462 2.8882
H -2.5720 2.0103 6.7185
H -0.7013 1.2223 4.4470
H 1.2080 2.3342 0.6166
H 0.7062 0.0095 5.7590
H 2.6155 3.5470 1.9286
H 0.7649 3.5660 5.7321
H 2.6742 7.1035 1.9017
H 2.1724 4.7788 7.0440
H 4.0817 5.8907 3.2137
H 5.9523 5.1027 0.9422
H 4.0430 5.5668 4.7725
Se 0.9114 5.0527 2.7049
Se -0.9979 5.6168 6.5353
Se 4.3783 1.4962 1.1254
Se 2.4690 2.0603 4.9558
O -0.7140 4.6390 2.4309
O -2.6233 6.0306 6.2612
O -2.4487 1.6017 7.6307
O -0.5394 1.9548 3.8004
O -0.7592 4.2520 5.5348
O 1.1501 6.4175 1.7045
O 1.6612 3.7531 1.6543
O -0.2481 6.9164 5.4846
O 3.6285 0.1966 2.1761
O 1.7192 3.3599 6.0064
O 2.2302 0.6955 5.9562
O 4.1396 2.8610 2.1259
O 3.9197 5.1582 3.8603
O 5.8291 5.5113 0.0299
O 6.0036 1.0825 1.3995
O 4.0943 2.4740 5.2298
```